Record 1
Starting from a GGA-PBE-relaxed structure, the powder XRD pattern of ErMg2Pd5 was computed for copper Kα.
Lines closer than 0.1° are merged.

Structural model:
Cell: 8.1097 8.1097 8.1097 Å, 149.93 149.93 43.05°
Fractional positions:
Er  0.0000  0.0000  0.0000
Mg  0.2517  0.2517  0.0000
Mg  0.7483  0.7483  0.0000
Pd  0.1344  0.6344  0.5000
Pd  0.3656  0.8656  0.5000
Pd  0.5000  0.5000  0.0000
Pd  0.6344  0.1344  0.5000
Pd  0.8656  0.3656  0.5000

The 10 most intense peaks (5 to 70 degrees two-theta), in order of rising 2θ:
11.73°, d = 7.544 Å, rel. 22
32.34°, d = 2.768 Å, rel. 22
35.70°, d = 2.515 Å, rel. 8
38.54°, d = 2.336 Å, rel. 100
42.99°, d = 2.104 Å, rel. 38
48.25°, d = 1.886 Å, rel. 12
57.08°, d = 1.614 Å, rel. 8
62.42°, d = 1.488 Å, rel. 12
66.59°, d = 1.404 Å, rel. 18
69.90°, d = 1.346 Å, rel. 7


Record 2
Starting from a GGA-PBE-relaxed structure, the powder XRD pattern of Tm8ZnOs2 was computed for copper Kα.
Lines closer than 0.1° are merged.

Structural model:
Cell: 7.6777 7.6777 5.4358 Å, 98.08 98.08 111.89°
Fractional positions:
Tm  0.0000  0.0000  0.0000
Tm  0.0455  0.3121  0.6095
Tm  0.1353  0.6179  0.1961
Tm  0.3121  0.0455  0.6095
Tm  0.4411  0.7076  0.7827
Tm  0.6179  0.1353  0.1961
Tm  0.7076  0.4411  0.7827
Tm  0.7535  0.7535  0.3922
Zn  0.3767  0.3767  0.1946
Os  0.0617  0.6916  0.6961
Os  0.6916  0.0617  0.6961

The 10 most intense peaks (5 to 70 degrees two-theta), in order of rising 2θ:
30.55°, d = 2.926 Å, rel. 53
30.66°, d = 2.916 Å, rel. 56
32.91°, d = 2.722 Å, rel. 100
33.26°, d = 2.694 Å, rel. 80
33.79°, d = 2.653 Å, rel. 45
35.52°, d = 2.527 Å, rel. 71
36.97°, d = 2.432 Å, rel. 56
38.79°, d = 2.322 Å, rel. 59
39.65°, d = 2.273 Å, rel. 40
45.90°, d = 1.977 Å, rel. 43